Theoretical X-ray diffraction stick pattern of Na3CrMo3O8 for copper Kα, from a structure optimized by DFT (GGA+U).
Intensities are scaled so that the largest is 100.

Main lines, most intense first (5 to 70 degrees two-theta):
2theta	I (rel.)
16.07	100.0
39.59	55.6
39.08	28.8
32.52	28.0
34.76	23.8
33.36	21.2
57.70	16.9
55.97	16.0
33.81	12.7
51.10	11.2

Crystal structure
abc: 6.3933 6.3933 6.6771
angles: 119.51 119.51 58.32
Sites, in units of the cell vectors:
Na (0.0000, 0.0000, 0.0000)
Na (0.0000, 0.5000, 0.0000)
Na (0.5000, 0.0000, 0.0000)
Cr (0.0000, 0.0000, 0.5000)
Mo (0.0000, 0.5000, 0.5000)
Mo (0.5000, 0.0000, 0.5000)
Mo (0.5000, 0.5000, 0.5000)
O (0.2220, 0.7451, 0.6928)
O (0.2238, 0.2238, 0.6943)
O (0.2549, 0.7780, 0.3072)
O (0.2631, 0.2631, 0.2908)
O (0.7369, 0.7369, 0.7092)
O (0.7451, 0.2220, 0.6928)
O (0.7762, 0.7762, 0.3057)
O (0.7780, 0.2549, 0.3072)